Computed powder diffraction line list of DyTmMg6 for Cu Kα (weighted mean of Kα1 and Kα2), from a DFT-relaxed cell (PBE, OQMD).
No peak broadening, texture or thermal motion is included.

Most intense lines, 10 to 80 degrees two-theta, by angle:
2θ/deg	d (Å)	intensity
14.63	6.056	62
22.91	3.882	56
24.09	3.695	43
24.36	3.654	23
32.87	2.725	31
33.12	2.704	25
34.52	2.598	100
35.49	2.529	26
60.07	1.540	18
63.11	1.473	17

Crystal structure
abc: 5.059 7.308 10.818
angles: 90.00 90.00 90.00
Space group Amm2 (No. 38)
One atom of each set of equivalent atoms:
1 Dy 0.000 0.000 0.000 x2
2 Tm 0.500 0.000 0.257 x2
3 Mg 0.000 0.000 0.457 x2
4 Mg 0.000 0.216 0.729 x4
5 Mg 0.500 0.000 0.799 x2
6 Mg 0.500 0.215 0.528 x4

***

Computed powder diffraction line list of DyReMo for Cu Kα (weighted mean of Kα1 and Kα2), from a DFT-relaxed cell (PBE, OQMD).
No peak broadening, texture or thermal motion is included.

Most intense lines, 10 to 80 degrees two-theta, by angle:
2θ/deg	d (Å)	intensity
24.20	3.678	42
28.01	3.185	10
40.03	2.252	100
47.33	1.921	21
49.57	1.839	3
57.90	1.593	17
63.67	1.461	9
65.53	1.424	3
72.72	1.300	35
77.93	1.226	7

Crystal structure
abc: 6.370 6.370 6.370
angles: 90.00 90.00 90.00
Space group F-43m (No. 216)
One atom of each set of equivalent atoms:
1 Dy 0.000 0.000 0.000 x4
2 Re 0.250 0.250 0.250 x4
3 Mo 0.250 0.250 0.750 x4

***

Computed powder diffraction line list of Dy2Si4Mo3 for Cu Kα (weighted mean of Kα1 and Kα2), from a DFT-relaxed cell (PBE, OQMD).
No peak broadening, texture or thermal motion is included.

Most intense lines, 10 to 80 degrees two-theta, by angle:
2θ/deg	d (Å)	intensity
29.34	3.044	27
29.79	3.000	30
30.44	2.937	36
34.43	2.605	37
34.87	2.573	38
37.25	2.414	100
37.50	2.398	98
38.01	2.367	32
41.60	2.171	49
42.17	2.143	66

Crystal structure
abc: 6.861 6.924 6.759
angles: 90.00 108.99 90.00
Space group P2_1/c (No. 14)
One atom of each set of equivalent atoms:
1 Dy 0.190 0.169 0.062 x4
2 Si 0.090 0.545 0.868 x4
3 Si 0.495 0.632 0.628 x4
4 Mo 0.250 0.662 0.249 x4
5 Mo 0.500 0.000 0.500 x2

***

Computed powder diffraction line list of Dy2N3 for Cu Kα (weighted mean of Kα1 and Kα2), from a DFT-relaxed cell (PBE, OQMD).
No peak broadening, texture or thermal motion is included.

Most intense lines, 10 to 80 degrees two-theta, by angle:
2θ/deg	d (Å)	intensity
20.78	4.275	14
29.04	3.075	99
30.06	2.973	100
42.29	2.137	41
46.88	1.938	25
50.82	1.797	14
52.75	1.735	42
53.38	1.716	26
62.49	1.486	13
70.35	1.338	16

Crystal structure
abc: 5.9452 5.9452 15.3377
angles: 90.00 90.00 120.00
Space group R-3c (No. 167, hexagonal axes)
One atom of each set of equivalent atoms:
1 Dy 0.0000 0.0000 0.1407 x12
2 N 0.0000 0.2826 0.2500 x18